# 1
# Pm2Ni3Ge4Os
Computed powder diffractogram, Cu Kα X-rays. Input: DFT lattice parameters and positions (GGA-PBE).
Peak positions follow from Bragg's law for the DFT cell and can differ from measured ones.

Top 10 peaks for 10° ≤ 2θ ≤ 90°, in order of rising 2θ:
index, Position (°2θ), d/Å, I_rel
1 0 3, 34.64, 2.589, 49
1 1 2, 35.61, 2.521, 100
2 0 0, 43.79, 2.067, 52
1 1 4, 47.98, 1.896, 13
1 0 5, 50.87, 1.795, 19
2 1 3, 57.01, 1.616, 23
2 2 0, 63.66, 1.462, 17
1 1 6, 64.54, 1.444, 13
2 1 5, 69.33, 1.355, 15
3 1 2, 75.12, 1.265, 22

```
data_Pm2Ni3Ge4Os
_chemical_formula_sum 'Pm2 Ni3 Ge4 Os1'
_space_group_name_H-M_alt 'P -4 m 2'
_space_group_IT_number 115
_cell_length_a 4.134
_cell_length_b 4.134
_cell_length_c 9.964
_cell_angle_alpha 90.00
_cell_angle_beta 90.00
_cell_angle_gamma 90.00
loop_
_space_group_symop_operation_xyz
'x,y,z'
'y,-x,-z'
'-x,-y,z'
'-y,x,-z'
'-x,y,z'
'-y,-x,-z'
'x,-y,z'
'y,x,-z'
loop_
_atom_site_label
_atom_site_type_symbol
_atom_site_fract_x
_atom_site_fract_y
_atom_site_fract_z
Pm1 Pm 0.000 0.500 0.241
Ni1 Ni 0.000 0.500 0.876
Ni2 Ni 0.500 0.500 0.500
Ge1 Ge 0.000 0.000 0.000
Ge2 Ge 0.000 0.500 0.636
Ge3 Ge 0.500 0.500 0.000
Os1 Os 0.000 0.000 0.500
```

=====

# 2
# Ba3Li2Ga2Au4
Computed powder diffractogram, Cu Kα X-rays. Input: DFT lattice parameters and positions (GGA-PBE).
Peak positions follow from Bragg's law for the DFT cell and can differ from measured ones.

Top 10 peaks for 10° ≤ 2θ ≤ 90°, in order of rising 2θ:
index, Position (°2θ), d/Å, I_rel
0 0 4, 20.91, 4.248, 16
0 1 2, 24.61, 3.617, 88
0 1 3, 27.30, 3.266, 53
1 0 4, 30.71, 2.911, 100
0 0 7, 37.03, 2.427, 18
1 1 0, 39.01, 2.309, 96
2 0 2, 46.68, 1.946, 17
0 2 4, 50.46, 1.809, 25
1 1 7, 54.89, 1.673, 34
2 1 4, 65.57, 1.424, 23

```
data_Ba3Li2Ga2Au4
_chemical_formula_sum 'Ba3 Li2 Ga2 Au4'
_space_group_name_H-M_alt 'P -3 m 1'
_space_group_IT_number 164
_space_group_name_Hall '-P 3 2"'
_cell_length_a 4.6165
_cell_length_b 4.6165
_cell_length_c 16.9918
_cell_angle_alpha 90.00
_cell_angle_beta 90.00
_cell_angle_gamma 120.00
loop_
_atom_site_label
_atom_site_type_symbol
_atom_site_fract_x
_atom_site_fract_y
_atom_site_fract_z
Ba1 Ba 0.0000 0.0000 0.0000
Ba2 Ba 0.0000 0.0000 0.2748
Li1 Li 0.3333 0.6667 0.5531
Ga1 Ga 0.3333 0.6667 0.1392
Au1 Au 0.3333 0.6667 0.3986
Au2 Au 0.3333 0.6667 0.8591
```

=====

Q: Number 2 is which compound?
A: Ba3Li2Ga2Au4